Simulated X-ray powder pattern of Ac2Pm2Ir2Rh for Cu Kα, 1.54184 Å, from a cell relaxed with GGA-PBE.

Largest 8 diffraction maxima, most intense first, 2θ = 10–80°:
32.3°, I 100, hkl 3 1 -2
39.3°, I 96, hkl 5 1 -1
31.3°, I 96, hkl 1 1 -2
12.4°, I 84, hkl 0 0 1
27.9°, I 80, hkl 1 1 1
36.9°, I 78, hkl 1 1 2
31.0°, I 74, hkl 3 1 0
37.4°, I 61, hkl 4 0 1

Cell and atoms:
abc: 14.116 4.079 8.253
angles: 90.00 120.13 90.00
Space group C2/m (No. 12)
Inequivalent atoms, fractional coordinates:
Ac: 0.037 0.000 0.266 x4
Pm: 0.219 0.500 0.803 x4
Ir: 0.114 0.500 0.038 x4
Rh: 0.000 0.500 0.500 x2